(1)
Starting from a GGA-PBE-relaxed structure, the XRD peak list of CaMnGaP was calculated for copper Kα.
No peak broadening, texture or thermal motion is included.

Structural model:
Lattice parameters (Å, degrees): 3.8941 3.8941 16.3238 90.00 90.00 120.00
Space group R3m (No. 160, hexagonal axes)
One atom of each set of equivalent atoms:
Ca 0.0000 0.0000 0.0000 [3 per cell]
Mn 0.0000 0.0000 0.5211 [3 per cell]
Ga 0.0000 0.0000 0.7888 [3 per cell]
P 0.0000 0.0000 0.2160 [3 per cell]

Principal peaks in the range 10 to 80 degrees two-theta, in order of falling intensity:
2θ = 34.5°, I = 100
2θ = 46.7°, I = 61
2θ = 16.3°, I = 48
2θ = 38.4°, I = 29
2θ = 59.3°, I = 19
2θ = 47.4°, I = 18
2θ = 27.0°, I = 17
2θ = 78.6°, I = 16
2θ = 49.7°, I = 15
2θ = 71.0°, I = 10
2θ = 63.3°, I = 10
2θ = 52.4°, I = 9

***

(2)
Starting from a GGA-PBE-relaxed structure, the XRD peak list of CaMnGaP was calculated for copper Kα.
No peak broadening, texture or thermal motion is included.

Structural model:
Lattice parameters (Å, degrees): 3.4263 3.7732 11.8014 90.00 90.00 90.00
Space group Amm2 (No. 38)
One atom of each set of equivalent atoms:
Ca 0.0000 0.0000 0.0000 [2 per cell]
Mn 0.0000 0.0000 0.7386 [2 per cell]
Ga 0.5000 0.0000 0.2873 [2 per cell]
P 0.5000 0.0000 0.6088 [2 per cell]

Principal peaks in the range 10 to 80 degrees two-theta, in order of falling intensity:
2θ = 36.2°, I = 100
2θ = 42.4°, I = 67
2θ = 15.0°, I = 63
2θ = 32.9°, I = 52
2θ = 30.3°, I = 35
2θ = 40.3°, I = 28
2θ = 48.2°, I = 24
2θ = 53.0°, I = 21
2θ = 53.5°, I = 17
2θ = 60.1°, I = 16
2θ = 64.2°, I = 13
2θ = 58.0°, I = 13

***

(3)
Starting from a GGA-PBE-relaxed structure, the XRD peak list of CaMnGaP was calculated for copper Kα.
No peak broadening, texture or thermal motion is included.

Structural model:
Lattice parameters (Å, degrees): 4.5954 4.1870 4.8183 90.00 112.01 90.00
Space group P2/m (No. 10)
One atom of each set of equivalent atoms:
Ca 0.0000 0.0000 0.0000 [1 per cell]
Mn 0.5000 0.5000 0.5000 [1 per cell]
Ga 0.5000 0.5000 0.0000 [1 per cell]
P 0.0000 0.5000 0.5000 [1 per cell]

Principal peaks in the range 10 to 80 degrees two-theta, in order of falling intensity:
2θ = 29.9°, I = 100
2θ = 21.2°, I = 85
2θ = 40.4°, I = 44
2θ = 42.4°, I = 38
2θ = 31.4°, I = 36
2θ = 43.2°, I = 36
2θ = 43.8°, I = 34
2θ = 46.6°, I = 29
2θ = 60.6°, I = 25
2θ = 62.2°, I = 23
2θ = 65.4°, I = 21
2θ = 46.1°, I = 21

***

(4)
Starting from a GGA-PBE-relaxed structure, the XRD peak list of CaGaN was calculated for copper Kα.
No peak broadening, texture or thermal motion is included.

Structural model:
Lattice parameters (Å, degrees): 3.5841 3.5841 17.1154 90.00 90.00 90.00
Space group I4/mmm (No. 139)
One atom of each set of equivalent atoms:
Ca 0.0000 0.0000 0.1829 [4 per cell]
Ga 0.0000 0.0000 0.4325 [4 per cell]
N 0.0000 0.0000 0.3245 [4 per cell]

Principal peaks in the range 10 to 80 degrees two-theta, in order of falling intensity:
2θ = 35.4°, I = 100
2θ = 25.4°, I = 90
2θ = 36.3°, I = 47
2θ = 29.4°, I = 46
2θ = 56.3°, I = 43
2θ = 51.0°, I = 33
2θ = 42.2°, I = 27
2θ = 44.9°, I = 24
2θ = 68.3°, I = 23
2θ = 57.8°, I = 17
2θ = 64.2°, I = 17
2θ = 70.2°, I = 12

***

(5)
Starting from a GGA-PBE-relaxed structure, the XRD peak list of Ca2Ga2N3 was calculated for copper Kα.
No peak broadening, texture or thermal motion is included.

Structural model:
Lattice parameters (Å, degrees): 11.4331 3.3510 5.5631 90.00 110.31 90.00
Space group C2/m (No. 12)
One atom of each set of equivalent atoms:
Ca 0.1110 0.0000 0.3411 [4 per cell]
Ga 0.1546 0.5000 0.8260 [4 per cell]
N 0.0000 0.5000 0.5000 [2 per cell]
N 0.2479 0.5000 0.2177 [4 per cell]

Principal peaks in the range 10 to 80 degrees two-theta, in order of falling intensity:
2θ = 36.7°, I = 100
2θ = 34.4°, I = 93
2θ = 19.2°, I = 49
2θ = 43.5°, I = 33
2θ = 33.4°, I = 25
2θ = 58.8°, I = 20
2θ = 32.5°, I = 19
2θ = 16.5°, I = 19
2θ = 54.8°, I = 19
2θ = 65.2°, I = 17
2θ = 57.3°, I = 16
2θ = 38.9°, I = 15

***

(6)
Starting from a GGA-PBE-relaxed structure, the XRD peak list of Ca6GaN2 was calculated for copper Kα.
No peak broadening, texture or thermal motion is included.

Structural model:
Lattice parameters (Å, degrees): 13.6988 4.2016 9.4322 90.00 99.60 90.00
Space group C2/m (No. 12)
One atom of each set of equivalent atoms:
Ca 0.0969 0.0000 0.2222 [4 per cell]
Ca 0.1568 0.5000 0.6120 [4 per cell]
Ca 0.1884 0.0000 0.8981 [4 per cell]
Ga 0.0000 0.0000 0.5000 [2 per cell]
N 0.2478 0.0000 0.1601 [4 per cell]

Principal peaks in the range 10 to 80 degrees two-theta, in order of falling intensity:
2θ = 31.7°, I = 100
2θ = 29.6°, I = 82
2θ = 14.9°, I = 50
2θ = 41.7°, I = 50
2θ = 22.2°, I = 49
2θ = 35.7°, I = 32
2θ = 46.1°, I = 32
2θ = 43.1°, I = 30
2θ = 17.5°, I = 27
2θ = 53.1°, I = 24
2θ = 30.1°, I = 17
2θ = 30.0°, I = 16

***

(7)
Starting from a GGA-PBE-relaxed structure, the XRD peak list of Ca2PrGaN was calculated for copper Kα.
No peak broadening, texture or thermal motion is included.

Structural model:
Lattice parameters (Å, degrees): 6.8038 6.8038 10.2098 90.00 90.00 90.00
Space group I4cm (No. 108)
One atom of each set of equivalent atoms:
Ca 0.2134 0.2866 0.0000 [8 per cell]
Pr 0.0000 0.0000 0.2493 [4 per cell]
Ga 0.0000 0.5000 0.2504 [4 per cell]
N 0.0000 0.0000 0.0016 [4 per cell]

Principal peaks in the range 10 to 80 degrees two-theta, in order of falling intensity:
2θ = 31.6°, I = 100
2θ = 37.4°, I = 36
2θ = 52.3°, I = 26
2θ = 26.2°, I = 24
2θ = 35.2°, I = 24
2θ = 60.9°, I = 21
2θ = 63.8°, I = 21
2θ = 17.4°, I = 17
2θ = 18.4°, I = 15
2θ = 44.4°, I = 12
2θ = 53.9°, I = 12
2θ = 41.5°, I = 11

***

(8)
Starting from a GGA-PBE-relaxed structure, the XRD peak list of Ca2GaReN4 was calculated for copper Kα.
No peak broadening, texture or thermal motion is included.

Structural model:
Lattice parameters (Å, degrees): 8.4138 5.9955 5.2127 90.00 90.00 90.00
Space group Pmn2_1 (No. 31)
One atom of each set of equivalent atoms:
Ca 0.2448 0.1975 0.0000 [4 per cell]
Ga 0.0000 0.7168 0.0102 [2 per cell]
Re 0.0000 0.3396 0.5363 [2 per cell]
N 0.0000 0.3901 0.8864 [2 per cell]
N 0.0000 0.6247 0.3976 [2 per cell]
N 0.1819 0.1863 0.4610 [4 per cell]

Principal peaks in the range 10 to 80 degrees two-theta, in order of falling intensity:
2θ = 31.1°, I = 100
2θ = 22.6°, I = 36
2θ = 34.4°, I = 31
2θ = 25.9°, I = 30
2θ = 56.2°, I = 28
2θ = 20.0°, I = 27
2θ = 21.1°, I = 27
2θ = 59.6°, I = 22
2θ = 34.5°, I = 22
2θ = 18.2°, I = 22
2θ = 40.8°, I = 21
2θ = 29.8°, I = 19